No. 1
Theoretical XRD peak list of Mg2GaB2Ir5 for a wavelength of 1.5418 Å, from a GGA-PBE-relaxed structure.

Peak list (10 most intense, 10 to 90 degrees two-theta, by angle)
2θ = 20.92°, intensity 52, hkl 2 1 0; 2θ = 29.76°, intensity 43, hkl 3 1 0; 2θ = 30.39°, intensity 87, hkl 0 0 1; 2θ = 34.05°, intensity 57, hkl 3 2 0; 2θ = 39.12°, intensity 78, hkl 4 1 0; 2θ = 42.59°, intensity 55, hkl 4 2 0; 2θ = 43.05°, intensity 100, hkl 3 1 1; 2θ = 46.28°, intensity 58, hkl 3 2 1; 2θ = 50.33°, intensity 54, hkl 4 1 1; 2θ = 78.28°, intensity 51, hkl 7 1 1

Atomic structure:
Cell: 9.4938 9.4938 2.9411 Å, 90.00 90.00 90.00°
Space group P4/mbm (No. 127)
Unique sites:
Mg (0.1751, 0.3249, 0.0000) (multiplicity 4)
Ga (0.0000, 0.0000, 0.0000) (multiplicity 2)
B (0.1269, 0.6269, 0.0000) (multiplicity 4)
Ir (0.0000, 0.5000, 0.5000) (multiplicity 2)
Ir (0.0719, 0.7852, 0.5000) (multiplicity 8)



No. 2
Theoretical XRD peak list of LaTaO4 for a wavelength of 1.5418 Å, from a GGA-PBE-relaxed structure.

Peak list (10 most intense, 10 to 90 degrees two-theta, by angle)
2θ = 23.16°, intensity 23, hkl 1 1 0; 2θ = 28.06°, intensity 100, hkl 1 1 1; 2θ = 28.56°, intensity 94, hkl 0 4 1; 2θ = 31.57°, intensity 35, hkl 0 0 2; 2θ = 32.85°, intensity 29, hkl 1 3 1; 2θ = 37.59°, intensity 24, hkl 1 5 0; 2θ = 43.19°, intensity 20, hkl 1 3 2; 2θ = 45.67°, intensity 23, hkl 2 0 0; 2θ = 49.88°, intensity 33, hkl 1 5 2; 2θ = 54.75°, intensity 30, hkl 2 4 1

Atomic structure:
Cell: 3.9733 14.9878 5.6681 Å, 90.00 90.00 90.00°
Space group Cmc2_1 (No. 36)
Unique sites:
La (0.0000, 0.1755, 0.0000) (multiplicity 4)
Ta (0.0000, 0.4154, 0.0489) (multiplicity 4)
O (0.0000, 0.0885, 0.5839) (multiplicity 4)
O (0.0000, 0.3014, 0.2580) (multiplicity 4)
O (0.0000, 0.3364, 0.7809) (multiplicity 4)
O (0.0000, 0.4713, 0.3882) (multiplicity 4)



No. 3
Theoretical XRD peak list of NdZnAsO for a wavelength of 1.5418 Å, from a GGA-PBE-relaxed structure.

Peak list (10 most intense, 10 to 90 degrees two-theta, by angle)
2θ = 29.44°, intensity 100, hkl 1 0 2; 2θ = 31.11°, intensity 17, hkl 1 1 0; 2θ = 32.66°, intensity 24, hkl 1 1 1; 2θ = 36.96°, intensity 38, hkl 1 1 2; 2θ = 44.57°, intensity 34, hkl 2 0 0; 2θ = 51.17°, intensity 32, hkl 1 1 4; 2θ = 54.32°, intensity 37, hkl 2 1 2; 2θ = 64.86°, intensity 11, hkl 2 2 0; 2θ = 87.03°, intensity 13, hkl 3 1 4; 2θ = 89.54°, intensity 9, hkl 3 2 2

Atomic structure:
Cell: 4.0661 4.0661 9.1099 Å, 90.00 90.00 90.00°
Space group P4/nmm (No. 129, origin choice 2)
Unique sites:
Nd (0.2500, 0.2500, 0.1295) (multiplicity 2)
Zn (0.2500, 0.7500, 0.5000) (multiplicity 2)
As (0.2500, 0.2500, 0.6752) (multiplicity 2)
O (0.2500, 0.7500, 0.0000) (multiplicity 2)



No. 4
Theoretical XRD peak list of MgAl2O4 for a wavelength of 1.5418 Å, from a GGA-PBE-relaxed structure.

Peak list (10 most intense, 10 to 90 degrees two-theta, by angle)
2θ = 31.16°, intensity 38, hkl 1 1 2; 2θ = 36.55°, intensity 70, hkl 1 2 1; 2θ = 36.74°, intensity 63, hkl 0 1 3; 2θ = 36.82°, intensity 68, hkl 2 1 1; 2θ = 44.60°, intensity 73, hkl 2 2 0; 2θ = 44.70°, intensity 35, hkl 0 0 4; 2θ = 59.21°, intensity 45, hkl 3 2 1; 2θ = 64.43°, intensity 27, hkl 0 4 0; 2θ = 64.99°, intensity 100, hkl 2 2 4; 2θ = 65.38°, intensity 25, hkl 4 0 0

Atomic structure:
Cell: 5.7098 5.7845 8.1091 Å, 90.00 90.00 90.00°
Space group Imma (No. 74)
Unique sites:
Mg (0.2500, 0.2500, 0.2500) (multiplicity 4)
Al (0.0000, 0.0000, 0.0000) (multiplicity 4)
Al (0.0000, 0.2500, 0.6354) (multiplicity 4)
O (0.0000, 0.0010, 0.2346) (multiplicity 8)
O (0.2355, 0.2500, 0.9960) (multiplicity 8)